# 1
Structure and simulated powder diffractogram of Ce2TeRh (a DFT-relaxed cell (GGA-PBE, Alexandria); Cu Kα, 1.54184 Å).
Neutral-atom scattering factors, no anomalous dispersion.

The 10 most intense peaks (2θ = 15–90°), by angle:
Position (°2θ), d [Å], intensity
25.36, 3.512, 13
26.24, 3.396, 23
29.55, 3.023, 24
31.82, 2.812, 100
37.27, 2.413, 27
44.13, 2.052, 49
47.06, 1.931, 18
55.43, 1.658, 20
66.79, 1.401, 14
73.43, 1.289, 18

Atomic structure:
abc: 4.1040 4.1040 22.9986
angles: 90.00 90.00 120.00
Space group R3m (No. 160, hexagonal axes)
Asymmetric unit:
Ce1 0.0000 0.0000 0.0000 (multiplicity 3)
Ce2 0.0000 0.0000 0.1950 (multiplicity 3)
Te1 0.0000 0.0000 0.7644 (multiplicity 3)
Rh1 0.0000 0.0000 0.5957 (multiplicity 3)



# 2
Structure and simulated powder diffractogram of Ce3ThRh2 (a DFT-relaxed cell (GGA-PBE, Alexandria); Cu Kα, 1.54184 Å).
Neutral-atom scattering factors, no anomalous dispersion.

The 10 most intense peaks (2θ = 15–90°), by angle:
Position (°2θ), d [Å], intensity
29.13, 3.066, 43
33.05, 2.710, 100
33.39, 2.684, 52
33.55, 2.671, 49
34.18, 2.624, 24
35.20, 2.550, 40
37.10, 2.423, 77
40.67, 2.219, 58
41.60, 2.171, 22
53.60, 1.710, 29

Atomic structure:
abc: 16.355 4.437 8.704
angles: 90.00 117.96 90.00
Space group C2/m (No. 12)
Asymmetric unit:
Ce1 0.067 0.000 0.429 (multiplicity 4)
Ce2 0.125 0.500 0.689 (multiplicity 4)
Ce3 0.211 0.500 0.382 (multiplicity 4)
Th1 0.113 0.000 0.026 (multiplicity 4)
Rh1 0.020 0.500 0.184 (multiplicity 4)
Rh2 0.242 0.000 0.883 (multiplicity 4)



# 3
Structure and simulated powder diffractogram of Ce5TlRh6 (a DFT-relaxed cell (GGA-PBE, Alexandria); Cu Kα, 1.54184 Å).
Neutral-atom scattering factors, no anomalous dispersion.

The 10 most intense peaks (2θ = 15–90°), by angle:
Position (°2θ), d [Å], intensity
35.31, 2.542, 95
35.49, 2.529, 50
37.97, 2.370, 100
38.12, 2.361, 41
52.56, 1.741, 15
53.06, 1.726, 28
61.83, 1.500, 12
66.76, 1.401, 13
67.09, 1.395, 26
68.78, 1.365, 12

Atomic structure:
abc: 5.085 14.165 7.001
angles: 90.00 95.87 90.00
Space group C2/m (No. 12)
Asymmetric unit:
Ce1 0.000 0.000 0.000 (multiplicity 2)
Ce2 0.000 0.329 0.000 (multiplicity 4)
Ce3 0.000 0.348 0.500 (multiplicity 4)
Tl1 0.000 0.000 0.500 (multiplicity 2)
Rh1 0.029 0.179 0.729 (multiplicity 8)
Rh2 0.069 0.500 0.213 (multiplicity 4)



# 4
Structure and simulated powder diffractogram of Ce8TlRh6 (a DFT-relaxed cell (GGA-PBE, Alexandria); Cu Kα, 1.54184 Å).
Neutral-atom scattering factors, no anomalous dispersion.

The 10 most intense peaks (2θ = 15–90°), by angle:
Position (°2θ), d [Å], intensity
28.58, 3.123, 28
29.96, 2.982, 59
30.31, 2.949, 62
35.04, 2.561, 100
36.20, 2.482, 52
41.88, 2.157, 30
43.14, 2.097, 21
50.16, 1.819, 23
60.15, 1.538, 19
78.75, 1.215, 26

Atomic structure:
abc: 10.3316 10.3316 3.9211
angles: 90.00 90.00 120.00
Space group P-3 (No. 147)
Asymmetric unit:
Ce1 0.0526 0.7316 0.2264 (multiplicity 6)
Ce2 0.3333 0.6667 0.7406 (multiplicity 2)
Tl1 0.0000 0.0000 0.5000 (multiplicity 1)
Rh1 0.0948 0.4735 0.2597 (multiplicity 6)



# 5
Structure and simulated powder diffractogram of Ce7Tl2Rh2 (a DFT-relaxed cell (GGA-PBE, Alexandria); Cu Kα, 1.54184 Å).
Neutral-atom scattering factors, no anomalous dispersion.

The 10 most intense peaks (2θ = 15–90°), by angle:
Position (°2θ), d [Å], intensity
27.66, 3.225, 100
27.93, 3.194, 70
28.36, 3.147, 63
32.40, 2.763, 85
33.60, 2.667, 60
35.34, 2.540, 81
38.00, 2.368, 38
38.58, 2.334, 34
42.06, 2.148, 37
44.31, 2.044, 73

Atomic structure:
abc: 8.486 10.207 6.852
angles: 90.00 102.36 90.00
Space group C2/m (No. 12)
Asymmetric unit:
Ce1 0.000 0.000 0.000 (multiplicity 2)
Ce2 0.132 0.500 0.361 (multiplicity 4)
Ce3 0.215 0.226 0.181 (multiplicity 8)
Tl1 0.000 0.155 0.500 (multiplicity 4)
Rh1 0.156 0.500 0.961 (multiplicity 4)



# 6
Structure and simulated powder diffractogram of CeTmTlRh (a DFT-relaxed cell (GGA-PBE, Alexandria); Cu Kα, 1.54184 Å).
Neutral-atom scattering factors, no anomalous dispersion.

The 10 most intense peaks (2θ = 15–90°), by angle:
Position (°2θ), d [Å], intensity
28.28, 3.156, 15
32.84, 2.727, 8
34.17, 2.624, 100
37.17, 2.419, 46
44.29, 2.045, 8
50.43, 1.810, 10
53.58, 1.711, 16
59.16, 1.562, 13
62.97, 1.476, 9
65.09, 1.433, 31

Atomic structure:
abc: 3.421 3.421 8.180
angles: 90.00 90.00 90.00
Space group P4mm (No. 99)
Asymmetric unit:
Ce1 0.000 0.000 0.000 (multiplicity 1)
Tm1 0.000 0.000 0.582 (multiplicity 1)
Tl1 0.500 0.500 0.299 (multiplicity 1)
Rh1 0.500 0.500 0.778 (multiplicity 1)



# 7
Structure and simulated powder diffractogram of Ce2TmRh3 (a DFT-relaxed cell (GGA-PBE, Alexandria); Cu Kα, 1.54184 Å).
Neutral-atom scattering factors, no anomalous dispersion.

The 10 most intense peaks (2θ = 15–90°), by angle:
Position (°2θ), d [Å], intensity
31.48, 2.842, 40
32.06, 2.792, 100
35.44, 2.533, 12
45.55, 1.991, 57
45.68, 1.986, 19
46.27, 1.962, 18
56.54, 1.628, 15
57.04, 1.615, 14
67.05, 1.396, 12
75.95, 1.253, 12

Atomic structure:
abc: 12.550 5.683 7.849
angles: 90.00 108.30 90.00
Space group C2/c (No. 15)
Asymmetric unit:
Ce1 0.168 0.015 0.082 (multiplicity 8)
Tm1 0.000 0.434 0.250 (multiplicity 4)
Rh1 0.000 0.068 0.750 (multiplicity 4)
Rh2 0.166 0.483 0.587 (multiplicity 8)



# 8
Structure and simulated powder diffractogram of CeTm2Rh (a DFT-relaxed cell (GGA-PBE, Alexandria); Cu Kα, 1.54184 Å).
Neutral-atom scattering factors, no anomalous dispersion.

The 10 most intense peaks (2θ = 15–90°), by angle:
Position (°2θ), d [Å], intensity
28.19, 3.166, 16
31.15, 2.872, 14
33.55, 2.671, 100
37.36, 2.407, 52
41.12, 2.195, 17
49.41, 1.845, 16
53.86, 1.702, 18
60.20, 1.537, 10
64.97, 1.435, 33
89.26, 1.097, 12

Atomic structure:
abc: 3.404 3.404 8.615
angles: 90.00 90.00 90.00
Space group P4/mmm (No. 123)
Asymmetric unit:
Ce1 0.000 0.000 0.000 (multiplicity 1)
Tm1 0.500 0.500 0.309 (multiplicity 2)
Rh1 0.000 0.000 0.500 (multiplicity 1)



# 9
Structure and simulated powder diffractogram of Ce3YRh4 (a DFT-relaxed cell (GGA-PBE, Alexandria); Cu Kα, 1.54184 Å).
Neutral-atom scattering factors, no anomalous dispersion.

The 10 most intense peaks (2θ = 15–90°), by angle:
Position (°2θ), d [Å], intensity
32.68, 2.740, 41
32.94, 2.719, 100
39.45, 2.284, 16
40.53, 2.226, 66
43.78, 2.068, 25
47.59, 1.911, 20
55.69, 1.651, 18
58.92, 1.567, 15
66.64, 1.403, 14
76.22, 1.249, 14

Atomic structure:
abc: 3.822 4.135 10.961
angles: 90.00 90.00 90.00
Space group Pmm2 (No. 25)
Asymmetric unit:
Ce1 0.000 0.000 0.000 (multiplicity 1)
Ce2 0.000 0.500 0.280 (multiplicity 1)
Ce3 0.500 0.500 0.769 (multiplicity 1)
Y1 0.500 0.000 0.498 (multiplicity 1)
Rh1 0.000 0.000 0.733 (multiplicity 1)
Rh2 0.000 0.500 0.544 (multiplicity 1)
Rh3 0.500 0.000 0.230 (multiplicity 1)
Rh4 0.500 0.500 0.038 (multiplicity 1)



# 10
Structure and simulated powder diffractogram of CeY4Rh3 (a DFT-relaxed cell (GGA-PBE, Alexandria); Cu Kα, 1.54184 Å).
Neutral-atom scattering factors, no anomalous dispersion.

The 10 most intense peaks (2θ = 15–90°), by angle:
Position (°2θ), d [Å], intensity
29.57, 3.021, 20
32.55, 2.751, 68
33.75, 2.656, 77
36.06, 2.491, 77
36.43, 2.466, 100
37.52, 2.397, 53
44.23, 2.048, 38
57.03, 1.615, 33
68.19, 1.375, 29
73.29, 1.292, 19

Atomic structure:
abc: 11.138 11.138 6.043
angles: 90.00 90.00 90.00
Space group I4/mcm (No. 140)
Asymmetric unit:
Ce1 0.000 0.500 0.250 (multiplicity 4)
Y1 0.084 0.209 0.000 (multiplicity 16)
Rh1 0.000 0.000 0.250 (multiplicity 4)
Rh2 0.155 0.345 0.500 (multiplicity 8)



# 11
Structure and simulated powder diffractogram of CeY3Rh4 (a DFT-relaxed cell (GGA-PBE, Alexandria); Cu Kα, 1.54184 Å).
Neutral-atom scattering factors, no anomalous dispersion.

The 10 most intense peaks (2θ = 15–90°), by angle:
Position (°2θ), d [Å], intensity
21.28, 4.176, 2
36.69, 2.449, 100
36.95, 2.433, 97
53.06, 1.726, 34
66.08, 1.414, 17
66.24, 1.411, 34
66.74, 1.402, 16
78.03, 1.225, 11
78.66, 1.216, 10
89.63, 1.094, 15

Atomic structure:
abc: 4.8982 4.8982 23.7587
angles: 90.00 90.00 120.00
Space group R-3m (No. 166, hexagonal axes)
Asymmetric unit:
Ce1 0.0000 0.0000 0.0000 (multiplicity 3)
Y1 0.0000 0.0000 0.2481 (multiplicity 6)
Y2 0.0000 0.0000 0.5000 (multiplicity 3)
Rh1 0.0000 0.0000 0.1217 (multiplicity 6)
Rh2 0.0000 0.0000 0.3733 (multiplicity 6)



# 12
Structure and simulated powder diffractogram of Ce4Y2Rh9 (a DFT-relaxed cell (GGA-PBE, Alexandria); Cu Kα, 1.54184 Å).
Neutral-atom scattering factors, no anomalous dispersion.

The 10 most intense peaks (2θ = 15–90°), by angle:
Position (°2θ), d [Å], intensity
20.90, 4.251, 15
27.55, 3.238, 15
34.83, 2.576, 19
39.14, 2.302, 80
39.57, 2.277, 100
45.17, 2.007, 12
56.88, 1.619, 26
71.50, 1.319, 26
71.79, 1.315, 17
79.70, 1.203, 13

Atomic structure:
abc: 4.5548 4.5548 17.0040
angles: 90.00 90.00 120.00
Space group P-3m1 (No. 164)
Asymmetric unit:
Ce1 0.3333 0.6667 0.1012 (multiplicity 2)
Ce2 0.3333 0.6667 0.4034 (multiplicity 2)
Y1 0.3333 0.6667 0.7518 (multiplicity 2)
Rh1 0.0000 0.0000 0.1626 (multiplicity 2)
Rh2 0.0000 0.0000 0.3313 (multiplicity 2)
Rh3 0.0000 0.0000 0.5000 (multiplicity 1)
Rh4 0.3333 0.6667 0.5802 (multiplicity 2)
Rh5 0.3333 0.6667 0.9302 (multiplicity 2)